Entry 1:
Diffraction record for In6Se7. The powder X-ray diffraction pattern is theoretical, not measured: it uses the PBE geometry in the Materials Project and a wavelength of 1.5418 Å.
Peak positions follow from Bragg's law for the DFT cell and can differ from measured ones.

Top 10 peaks for 2θ from 10° to 80°, by angle:
2θ = 23.76°, rel. 33.3
2θ = 28.51°, rel. 48.0
2θ = 28.96°, rel. 33.5
2θ = 29.77°, rel. 72.7
2θ = 30.17°, rel. 39.1
2θ = 30.78°, rel. 100.0
2θ = 31.65°, rel. 44.4
2θ = 33.07°, rel. 77.3
2θ = 37.44°, rel. 43.3
2θ = 43.78°, rel. 96.7

Structural model:
Cell: 9.6200 4.1343 18.0277 Å, 90.00 100.91 90.00°
Space group P2_1 (No. 4)
Unique sites:
In: 0.0157 0.0000 0.1040 (multiplicity 2)
In: 0.0688 0.0012 0.6242 (multiplicity 2)
In: 0.1808 0.5020 0.3131 (multiplicity 2)
In: 0.3283 0.9956 0.9662 (multiplicity 2)
In: 0.3527 0.5017 0.5470 (multiplicity 2)
In: 0.4736 0.9904 0.7720 (multiplicity 2)
Se: 0.1209 0.9982 0.8419 (multiplicity 2)
Se: 0.1642 0.0002 0.4938 (multiplicity 2)
Se: 0.1691 0.4888 0.0320 (multiplicity 2)
Se: 0.2407 0.0011 0.2269 (multiplicity 2)
Se: 0.2462 0.5007 0.6796 (multiplicity 2)
Se: 0.4439 0.5027 0.4081 (multiplicity 2)
Se: 0.4701 0.4936 0.9073 (multiplicity 2)

***

Entry 2:
Diffraction record for Cr2AsSe. The powder X-ray diffraction pattern is theoretical, not measured: it uses the PBE geometry in the Materials Project and a wavelength of 1.5418 Å.
Peak positions follow from Bragg's law for the DFT cell and can differ from measured ones.

Top 10 peaks for 2θ from 10° to 80°, by angle:
2θ = 30.94°, rel. 100.0
2θ = 40.01°, rel. 90.4
2θ = 48.33°, rel. 51.9
2θ = 52.19°, rel. 22.6
2θ = 58.50°, rel. 15.8
2θ = 59.29°, rel. 8.9
2θ = 64.49°, rel. 19.9
2θ = 73.87°, rel. 8.0
2θ = 79.21°, rel. 13.1
2θ = 79.89°, rel. 21.8

Structural model:
Cell: 3.7662 3.7662 6.2344 Å, 90.00 90.00 120.00°
Space group P-6m2 (No. 187)
Unique sites:
Cr: 0.0000 0.0000 0.2420 (multiplicity 2)
As: 0.6667 0.3333 0.0000 (multiplicity 1)
Se: 0.3333 0.6667 0.5000 (multiplicity 1)